1.
The following is a calculated X-ray powder pattern of Tb2Zn3Pt. It was derived from a DFT-relaxed cell (PBE, Alexandria), using Cu Kα.
Intensities are scaled so that the largest is 100.

Unit cell a=3.6068 b=4.4409 c=7.6835 alpha=90.00 beta=90.00 gamma=90.00
Space group Pmm2 (No. 25)
Unique sites:
Tb 0.0000 0.0000 0.0000
Tb 0.0000 0.5000 0.4570
Zn 0.5000 0.0000 0.6525
Zn 0.5000 0.5000 0.1334
Zn 0.5000 0.5000 0.8061
Pt 0.5000 0.0000 0.3123

Principal peaks in the range 5 to 70 degrees two-theta, sorted by position:
h k l  Position (°2θ)  I_rel
0 0 1  11.52  17
0 1 1  23.14  11
1 1 1  34.09  100
0 2 0  40.65  56
2 0 0  50.62  10
1 2 2  54.07  25
2 2 0  66.85  25
1 3 1  69.78  22



2.
The following is a calculated X-ray powder pattern of PaPt2Rh4. It was derived from a DFT-relaxed cell (PBE, Alexandria), using Cu Kα.
Intensities are scaled so that the largest is 100.

Unit cell a=6.5163 b=6.6192 c=7.0052 alpha=118.04 beta=91.70 gamma=113.67
Space group P1 (No. 1)
Unique sites:
Pa 0.0000 0.0000 0.0000
Pa 0.0508 0.3665 0.6257
Pt 0.2486 0.7779 0.5742
Pt 0.4201 0.4565 0.3139
Pt 0.5870 0.9537 0.3573
Pt 0.6913 0.1559 0.8196
Rh 0.1240 0.5349 0.0978
Rh 0.2074 0.0312 0.3554
Rh 0.3256 0.2730 0.8510
Rh 0.4828 0.7756 0.9185
Rh 0.6472 0.4582 0.6468
Rh 0.7623 0.6449 0.0976
Rh 0.7850 0.3429 0.2731
Rh 0.8780 0.8508 0.5618

Principal peaks in the range 5 to 70 degrees two-theta, sorted by position:
h k l  Position (°2θ)  I_rel
2 -2 0  34.08  44
2 1 -1  38.70  44
1 2 -1  39.08  91
0 2 -3  40.19  98
2 -1 2  40.62  100
-2 1 2  41.74  40
3 -1 0  41.87  50
2 -3 1  43.00  61



3.
The following is a calculated X-ray powder pattern of RbBaNbMo2. It was derived from a DFT-relaxed cell (PBE, Alexandria), using Cu Kα.
Intensities are scaled so that the largest is 100.

Unit cell a=5.3817 b=5.3817 c=5.4361 alpha=90.00 beta=90.00 gamma=90.00
Space group P4/mmm (No. 123)
Unique sites:
Rb 0.0000 0.0000 0.0000
Ba 0.5000 0.5000 0.5000
Nb 0.5000 0.5000 0.0000
Mo 0.0000 0.5000 0.5000

Principal peaks in the range 5 to 70 degrees two-theta, sorted by position:
h k l  Position (°2θ)  I_rel
1 0 0  16.47  43
1 0 1  23.26  29
1 1 1  28.63  71
0 0 2  32.95  51
2 0 0  33.30  100
2 0 2  47.55  72
2 2 0  47.80  35
2 2 2  59.28  37



4.
The following is a calculated X-ray powder pattern of Tm2Ga9Ni3. It was derived from a DFT-relaxed cell (PBE, Alexandria), using Cu Kα.
Intensities are scaled so that the largest is 100.

Unit cell a=12.8559 b=7.4140 c=10.3388 alpha=90.00 beta=114.59 gamma=90.00
Space group C2/c (No. 15)
Unique sites:
Tm 0.1679 0.0832 0.2513
Ga 0.0000 0.3691 0.2500
Ga 0.0599 0.0807 0.9294
Ga 0.1049 0.4148 0.0613
Ga 0.1067 0.3105 0.7492
Ga 0.2272 0.4159 0.4281
Ni 0.0847 0.2467 0.5005
Ni 0.2500 0.2500 0.0000

Principal peaks in the range 5 to 70 degrees two-theta, sorted by position:
h k l  Position (°2θ)  I_rel
0 2 1  25.82  13
4 2 -1  37.17  9
3 1 2  37.58  100
0 0 4  38.30  15
5 1 -3  39.23  8
4 2 -3  40.43  8
6 0 -2  42.20  64
0 4 3  57.77  15



5.
The following is a calculated X-ray powder pattern of Nd6ZnIn. It was derived from a DFT-relaxed cell (PBE, Alexandria), using Cu Kα.
Intensities are scaled so that the largest is 100.

Unit cell a=5.2507 b=5.2507 c=18.2250 alpha=90.00 beta=90.00 gamma=90.00
Space group I4/mmm (No. 139)
Unique sites:
Nd 0.0000 0.0000 0.2491
Nd 0.0000 0.5000 0.1083
Zn 0.0000 0.0000 0.5000
In 0.0000 0.0000 0.0000

Principal peaks in the range 5 to 70 degrees two-theta, sorted by position:
h k l  Position (°2θ)  I_rel
1 1 4  31.07  100
2 0 0  34.15  43
0 0 8  39.56  10
2 2 0  49.07  15
2 0 8  53.24  16
1 1 10  56.25  9
3 1 4  59.23  32
2 2 8  64.78  9



6.
The following is a calculated X-ray powder pattern of Pm5Tl2Pt2. It was derived from a DFT-relaxed cell (PBE, Alexandria), using Cu Kα.
Intensities are scaled so that the largest is 100.

Unit cell a=16.1067 b=8.5923 c=7.4588 alpha=90.00 beta=90.00 gamma=90.00
Space group Cmce (No. 64)
Unique sites:
Pm 0.0000 0.0000 0.0000
Pm 0.1206 0.1797 0.3454
Tl 0.2138 0.0000 0.0000
Pt 0.0000 0.1211 0.6359

Principal peaks in the range 5 to 70 degrees two-theta, sorted by position:
h k l  Position (°2θ)  I_rel
4 2 0  30.43  63
3 1 2  31.00  66
0 2 2  31.77  42
4 2 1  32.75  100
1 3 1  33.99  62
1 1 3  38.09  47
5 1 2  38.38  48
9 3 1  62.48  47



7.
The following is a calculated X-ray powder pattern of NaSrTl2Ir. It was derived from a DFT-relaxed cell (PBE, Alexandria), using Cu Kα.
Intensities are scaled so that the largest is 100.

Unit cell a=5.3613 b=5.3613 c=5.7401 alpha=90.00 beta=90.00 gamma=90.00
Space group P4/mmm (No. 123)
Unique sites:
Na 0.0000 0.0000 0.0000
Sr 0.5000 0.5000 0.0000
Tl 0.0000 0.5000 0.5000
Ir 0.5000 0.5000 0.5000

Principal peaks in the range 5 to 70 degrees two-theta, sorted by position:
h k l  Position (°2θ)  I_rel
0 0 1  15.44  100
1 0 0  16.53  50
1 1 1  28.21  46
0 0 2  31.16  42
2 0 0  33.43  69
2 0 1  37.01  48
2 0 2  46.35  56
2 2 2  58.34  28



8.
The following is a calculated X-ray powder pattern of Ho7Sn4C. It was derived from a DFT-relaxed cell (PBE, Alexandria), using Cu Kα.
Intensities are scaled so that the largest is 100.

Unit cell a=15.9625 b=5.0009 c=11.1362 alpha=90.00 beta=128.36 gamma=90.00
Space group C2/m (No. 12)
Unique sites:
Ho 0.0000 0.0000 0.0000
Ho 0.0624 0.5000 0.2471
Ho 0.1364 0.0000 0.5470
Ho 0.2241 0.5000 0.8623
Sn 0.0840 0.0000 0.7824
Sn 0.2222 0.0000 0.3517
C 0.0000 0.5000 0.0000

Principal peaks in the range 5 to 70 degrees two-theta, sorted by position:
h k l  Position (°2θ)  I_rel
4 0 -1  23.51  17
1 1 -2  24.58  34
3 1 1  34.09  100
5 1 -3  34.41  65
0 2 0  35.92  35
8 0 -2  48.08  13
2 2 -4  50.35  21
8 2 -2  61.44  20